This entry pairs a crystal structure of Sr2CdWO6 with its calculated XRD peak list. Radiation: Cu Kα. Structure: the PBE+U geometry in the Materials Project.
Lines closer than 0.1° are merged.

Peak list (6 most intense, 2θ = 10–80°, most intense first)
2theta	I_rel
30.51	100
54.57	34
43.52	24
29.99	24
30.79	24
53.58	17

Structural model:
```
20
Lattice="5.8076 0.0000 0.0000 0.0000 5.9589 0.0000 -5.8007 0.0000 8.2561" Properties=species:S:1:pos:R:3 pbc="T T T"
Sr -0.0575 0.2761 2.0477
Sr -2.9579 2.7034 6.1758
Sr 2.9649 3.2555 2.0804
Sr 0.0645 5.6828 6.2084
Cd -2.9003 0.0000 4.1281
Cd 0.0000 2.9794 0.0000
W 2.9038 0.0000 0.0000
W 0.0035 2.9794 4.1281
O -4.4812 1.1019 7.9191
O -1.5808 1.8775 3.7910
O -3.9439 4.3520 7.8337
O -1.0436 4.5863 3.7056
O -2.3908 0.1887 6.3731
O 0.5095 2.7907 2.2451
O -0.5025 3.1682 6.0111
O 2.3978 5.7701 1.8830
O 1.0505 1.3726 4.5505
O 3.9509 1.6069 0.4224
O 1.5878 4.0813 4.4651
O 4.4882 4.8570 0.3370
```


This entry pairs a crystal structure of TbCuW2O8 with its calculated XRD peak list. Radiation: Cu Kα. Structure: the PBE+U geometry in the Materials Project.
Lines closer than 0.1° are merged.

Peak list (6 most intense, 2θ = 10–80°, most intense first)
2theta	I_rel
29.83	100
28.71	92
26.72	76
35.57	74
21.93	71
30.00	67

Structural model:
```
24
Lattice="7.1187 0.0000 0.0000 -0.1233 7.3592 0.0000 -3.2565 -3.0567 5.9303" Properties=species:S:1:pos:R:3 pbc="T T T"
Tb -0.2320 0.7118 2.6953
Tb 3.9709 3.5907 3.2349
Cu 1.6411 4.8336 0.3709
Cu 2.0978 -0.5311 5.5593
W 1.6989 2.0963 0.1178
W 0.0788 4.3804 4.1883
W 3.6600 -0.0780 1.7419
W 2.0400 2.2062 5.8125
O -0.1061 1.9960 0.4969
O -1.7810 4.7767 4.7302
O -1.3230 0.0755 4.5621
O -0.5977 2.9308 3.2755
O 0.2781 5.7080 2.9979
O 1.8368 0.5523 1.5713
O 2.3489 3.2738 1.4385
O 3.2897 6.0592 0.0787
O 0.4492 -1.7567 5.8515
O 1.3900 1.0286 4.4918
O 1.9021 3.7502 4.3590
O 3.4607 -1.4055 2.9323
O 4.3366 1.3717 2.6547
O 5.0619 4.2270 1.3681
O 5.5199 -0.4742 1.2000
O 3.8449 2.3064 5.4334
```


This entry pairs a crystal structure of Li4V2Fe3Ni3O16 with its calculated XRD peak list. Radiation: Cu Kα. Structure: the PBE+U geometry in the Materials Project.
Lines closer than 0.1° are merged.

Peak list (6 most intense, 2θ = 10–80°, most intense first)
2theta	I_rel
18.71	100
63.56	58
20.03	48
19.67	47
35.41	42
36.48	36

Structural model:
```
28
Lattice="5.0747 -2.9280 0.0000 5.0747 2.9280 0.0000 -0.4114 0.0000 9.4841" Properties=species:S:1:pos:R:3 pbc="T T T"
Li 0.0000 0.0000 0.0000
Li -0.1420 0.0000 4.7073
Li 3.2029 0.0000 3.8343
Li 6.4161 0.0000 8.6352
V 2.9157 0.0000 9.4731
V 6.4201 0.0000 4.7035
Fe 3.8976 1.4352 6.8551
Fe 3.8976 -1.4352 6.8551
Fe 8.3579 0.0000 2.1354
Ni 1.4673 0.0000 6.8353
Ni 5.8719 1.4125 2.0784
Ni 5.8719 -1.4125 2.0784
O -0.2911 0.0000 7.6796
O 0.0157 0.0000 2.9022
O 2.3803 1.3109 8.1846
O 4.2459 1.4142 0.9629
O 1.8152 0.0000 0.8637
O 3.1539 0.0000 5.7924
O 5.7404 1.3899 5.6436
O 4.5953 0.0000 8.0303
O 2.3803 -1.3109 8.1846
O 7.3557 1.2976 3.2883
O 5.1361 0.0000 3.4089
O 6.6701 0.0000 1.1061
O 4.2459 -1.4142 0.9629
O 5.7404 -1.3899 5.6436
O 8.2078 0.0000 5.6341
O 7.3557 -1.2976 3.2883
```


This entry pairs a crystal structure of Li9Co7O16 with its calculated XRD peak list. Radiation: Cu Kα. Structure: the PBE+U geometry in the Materials Project.
Lines closer than 0.1° are merged.

Peak list (6 most intense, 2θ = 10–80°, most intense first)
2theta	I_rel
18.51	100
44.01	52
36.27	28
43.63	27
63.48	14
63.93	14

Structural model:
```
32
Lattice="5.0945 -2.9008 0.0000 5.0945 2.9008 0.0000 -3.4158 0.0000 9.5077" Properties=species:S:1:pos:R:3 pbc="T T T"
Li 0.0000 0.0000 0.0000
Li 2.5472 1.4504 0.0000
Li 0.8393 1.4504 4.7539
Li 1.6823 0.0000 2.3403
Li 0.0042 0.0000 7.1800
Li 2.5472 -1.4504 0.0000
Li 0.8393 -1.4504 4.7539
Li 6.7689 0.0000 2.3277
Li 5.0909 0.0000 7.1674
Co -1.7079 0.0000 4.7539
Co 4.2421 1.4702 2.3165
Co 2.5311 1.4702 7.1913
Co 5.0945 0.0000 0.0000
Co 3.3866 0.0000 4.7539
Co 4.2421 -1.4702 2.3165
Co 2.5311 -1.4702 7.1913
O -0.1632 0.0000 3.6067
O -1.7558 0.0000 8.1686
O 2.6342 1.3688 3.6560
O 0.9467 1.3350 8.3591
O 4.1389 1.3688 5.8518
O 5.8265 1.3350 1.1487
O 3.5191 0.0000 1.1187
O 1.8862 0.0000 5.9538
O 4.8870 0.0000 3.5539
O 3.2540 0.0000 8.3890
O 0.9467 -1.3350 8.3591
O 2.6342 -1.3688 3.6560
O 5.8265 -1.3350 1.1487
O 4.1389 -1.3688 5.8518
O 8.5289 0.0000 1.3391
O 6.9364 0.0000 5.9010
```


This entry pairs a crystal structure of Li6MnF8 with its calculated XRD peak list. Radiation: Cu Kα. Structure: the PBE+U geometry in the Materials Project.
Lines closer than 0.1° are merged.

Peak list (6 most intense, 2θ = 10–80°, most intense first)
2theta	I_rel
42.92	100
18.23	80
62.32	53
35.32	38
21.08	25
29.99	21

Structural model:
```
15
Lattice="0.0000 4.2143 4.2143 4.2143 0.0000 4.2143 4.2143 4.2143 0.0000" Properties=species:S:1:pos:R:3 pbc="T T T"
Li 2.1071 2.1071 0.0000
Li 2.1071 0.0000 2.1071
Li 4.2143 2.1071 2.1071
Li 0.0000 2.1071 2.1071
Li 2.1071 4.2143 2.1071
Li 2.1071 2.1071 4.2143
Mn 0.0000 0.0000 0.0000
F 4.2143 4.2143 2.0790
F 4.2143 2.0790 4.2143
F 6.3495 4.2143 4.2143
F 2.1071 2.1071 2.1071
F 6.3214 6.3214 6.3214
F 2.0790 4.2143 4.2143
F 4.2143 6.3495 4.2143
F 4.2143 4.2143 6.3495
```


This entry pairs a crystal structure of Li2MgCo3O8 with its calculated XRD peak list. Radiation: Cu Kα. Structure: the PBE+U geometry in the Materials Project.
Lines closer than 0.1° are merged.

Peak list (6 most intense, 2θ = 10–80°, most intense first)
2theta	I_rel
18.20	100
43.79	37
36.52	31
44.17	18
57.31	10
64.56	10

Structural model:
```
28
Lattice="5.9565 0.0000 0.0000 0.0000 5.7443 0.0000 -0.1994 0.0000 8.2014" Properties=species:S:1:pos:R:3 pbc="T T T"
Li 0.0000 0.0000 0.0000
Li 0.0000 2.8722 0.0000
Li 2.8786 0.0000 4.1007
Li 2.8786 2.8722 4.1007
Mg -0.0997 0.0000 4.1007
Mg 2.9782 2.8722 0.0000
Co -0.0997 2.8722 4.1007
Co 1.3369 1.4341 6.1297
Co 1.3369 4.3102 6.1297
Co 2.9782 0.0000 0.0000
Co 4.4203 1.4341 2.0717
Co 4.4203 4.3102 2.0717
O 0.0460 2.8722 6.0561
O 0.1383 0.0000 6.1283
O 1.2350 1.5370 4.2672
O 1.2350 4.2073 4.2672
O 1.4278 1.3397 8.0107
O 1.4278 4.4046 8.0107
O 2.5300 2.8722 6.1643
O 2.6027 0.0000 6.1141
O 3.1544 0.0000 2.0873
O 3.2272 2.8722 2.0371
O 4.3293 1.3397 0.1907
O 4.3293 4.4046 0.1907
O 4.5221 1.5370 3.9342
O 4.5221 4.2073 3.9342
O 5.6189 0.0000 2.0731
O 5.7111 2.8722 2.1453
```


This entry pairs a crystal structure of KV3Pb4O12 with its calculated XRD peak list. Radiation: Cu Kα. Structure: the PBE+U geometry in the Materials Project.
Lines closer than 0.1° are merged.

Peak list (6 most intense, 2θ = 10–80°, most intense first)
2theta	I_rel
28.90	100
29.31	59
29.92	42
20.83	39
44.91	34
45.75	32

Structural model:
```
40
Lattice="10.3452 0.0000 0.0000 -5.1726 8.9592 0.0000 0.0000 0.0000 7.5403" Properties=species:S:1:pos:R:3 pbc="T T T"
K 0.0000 5.9728 0.0000
K 5.1726 2.9864 3.7701
V -1.8599 3.4915 1.7504
V -1.2189 8.8242 1.7504
V 2.0937 3.3565 5.5206
V 3.0789 5.6027 1.7504
V 6.3915 0.1350 5.5206
V 7.0325 5.4677 5.5206
Pb -3.8278 6.6614 1.7769
Pb 1.3175 2.3135 1.7769
Pb 2.6623 0.0158 5.5470
Pb 0.0000 5.9728 3.8605
Pb 5.1726 2.9864 0.0904
Pb 2.5103 8.9434 1.7769
Pb 3.8551 6.6457 5.5470
Pb 9.0004 2.2978 5.5470
O -0.9281 3.0258 3.1364
O -0.8665 3.0421 0.4018
O -2.0741 5.2458 1.7939
O -1.7822 6.3184 5.4424
O -2.1048 8.1886 0.4018
O -2.0881 8.2500 3.1364
O 0.5918 4.2565 5.4424
O 2.1564 2.3166 6.9065
O 2.2013 2.2715 4.1719
O 1.6666 4.5401 1.7939
O 3.9821 1.6158 1.6723
O 0.4074 8.1325 1.7939
O 4.7652 0.8267 5.5641
O 1.1905 7.3434 5.4424
O 3.5060 4.4191 5.5641
O 2.9713 6.6877 0.4018
O 3.0162 6.6426 3.1364
O 4.5808 4.7027 1.6723
O 7.2607 0.7092 6.9065
O 7.2773 0.7706 4.1719
O 6.9548 2.6407 1.6723
O 7.2467 3.7134 5.5641
O 6.0391 5.9170 4.1719
O 6.1006 5.9334 6.9065
```


This entry pairs a crystal structure of BaSrDyVO6 with its calculated XRD peak list. Radiation: Cu Kα. Structure: the PBE+U geometry in the Materials Project.
Lines closer than 0.1° are merged.

Peak list (6 most intense, 2θ = 10–80°, most intense first)
2theta	I_rel
30.53	100
54.25	39
43.71	31
63.54	19
72.12	18
18.55	15

Structural model:
```
10
Lattice="0.0000 4.1415 4.1415 4.1415 0.0000 4.1415 4.1415 4.1415 0.0000" Properties=species:S:1:pos:R:3 pbc="T T T"
Ba 0.0000 0.0000 0.0000
Sr 4.1415 4.1415 4.1415
Dy 6.2123 6.2123 6.2123
V 2.0708 2.0708 2.0708
O 2.0708 2.0708 0.1588
O 2.0708 0.1588 2.0708
O 3.9827 2.0708 2.0708
O 0.1588 2.0708 2.0708
O 2.0708 3.9827 2.0708
O 2.0708 2.0708 3.9827
```


Number 7 is which compound?
KV3Pb4O12


Repeat the seventh record exactly.
This entry pairs a crystal structure of KV3Pb4O12 with its calculated XRD peak list. Radiation: Cu Kα. Structure: the PBE+U geometry in the Materials Project.
Lines closer than 0.1° are merged.

Peak list (6 most intense, 2θ = 10–80°, most intense first)
2theta	I_rel
28.90	100
29.31	59
29.92	42
20.83	39
44.91	34
45.75	32

Structural model:
```
40
Lattice="10.3452 0.0000 0.0000 -5.1726 8.9592 0.0000 0.0000 0.0000 7.5403" Properties=species:S:1:pos:R:3 pbc="T T T"
K 0.0000 5.9728 0.0000
K 5.1726 2.9864 3.7701
V -1.8599 3.4915 1.7504
V -1.2189 8.8242 1.7504
V 2.0937 3.3565 5.5206
V 3.0789 5.6027 1.7504
V 6.3915 0.1350 5.5206
V 7.0325 5.4677 5.5206
Pb -3.8278 6.6614 1.7769
Pb 1.3175 2.3135 1.7769
Pb 2.6623 0.0158 5.5470
Pb 0.0000 5.9728 3.8605
Pb 5.1726 2.9864 0.0904
Pb 2.5103 8.9434 1.7769
Pb 3.8551 6.6457 5.5470
Pb 9.0004 2.2978 5.5470
O -0.9281 3.0258 3.1364
O -0.8665 3.0421 0.4018
O -2.0741 5.2458 1.7939
O -1.7822 6.3184 5.4424
O -2.1048 8.1886 0.4018
O -2.0881 8.2500 3.1364
O 0.5918 4.2565 5.4424
O 2.1564 2.3166 6.9065
O 2.2013 2.2715 4.1719
O 1.6666 4.5401 1.7939
O 3.9821 1.6158 1.6723
O 0.4074 8.1325 1.7939
O 4.7652 0.8267 5.5641
O 1.1905 7.3434 5.4424
O 3.5060 4.4191 5.5641
O 2.9713 6.6877 0.4018
O 3.0162 6.6426 3.1364
O 4.5808 4.7027 1.6723
O 7.2607 0.7092 6.9065
O 7.2773 0.7706 4.1719
O 6.9548 2.6407 1.6723
O 7.2467 3.7134 5.5641
O 6.0391 5.9170 4.1719
O 6.1006 5.9334 6.9065
```